# 1
Computed powder diffraction line list of ThSc2Sn for Cu Kα (λ = 1.5418 Å), from a DFT-relaxed cell (PBE, Alexandria).
Lines closer than 0.1° are merged.

Largest 10 diffraction maxima, most intense first, 10 to 90 degrees two-theta:
31.98 deg, 2.798 Å, I = 100.0
34.46 deg, 2.602 Å, I = 67.0
18.79 deg, 4.724 Å, I = 66.6
34.97 deg, 2.566 Å, I = 48.3
30.75 deg, 2.907 Å, I = 32.3
38.10 deg, 2.362 Å, I = 30.3
59.61 deg, 1.551 Å, I = 28.2
25.65 deg, 3.473 Å, I = 27.4
44.11 deg, 2.053 Å, I = 26.3
33.09 deg, 2.707 Å, I = 23.0

Crystal structure
Cell lengths 3.6226, 9.4477, 6.3733 Å; angles 90.00, 106.49, 90.00 degrees
Space group P2_1/m (No. 11)
Inequivalent atoms, fractional coordinates:
1 Th 0.0373 0.2500 0.0738 x2
2 Sc 0.3653 0.0276 0.7308 x4
3 Sn 0.2353 0.7500 0.4697 x2



# 2
Computed powder diffraction line list of Th3Sc2Sn4 for Cu Kα (λ = 1.5418 Å), from a DFT-relaxed cell (PBE, Alexandria).
Lines closer than 0.1° are merged.

Largest 10 diffraction maxima, most intense first, 10 to 90 degrees two-theta:
34.81 deg, 2.577 Å, I = 100.0
31.65 deg, 2.827 Å, I = 54.3
32.59 deg, 2.748 Å, I = 45.9
19.89 deg, 4.464 Å, I = 37.1
33.02 deg, 2.713 Å, I = 23.3
31.14 deg, 2.872 Å, I = 21.7
48.78 deg, 1.867 Å, I = 16.1
47.44 deg, 1.916 Å, I = 13.9
28.70 deg, 3.111 Å, I = 13.4
62.47 deg, 1.487 Å, I = 12.0

Crystal structure
Cell lengths 11.7808, 5.1462, 9.4481 Å; angles 90.00, 120.52, 90.00 degrees
Space group C2/m (No. 12)
Inequivalent atoms, fractional coordinates:
1 Th 0.0000 0.0000 0.0000 x2
2 Th 0.1566 0.5000 0.6846 x4
3 Sc 0.1297 0.5000 0.3015 x4
4 Sn 0.0824 0.0000 0.4065 x4
5 Sn 0.1918 0.5000 0.0432 x4



# 3
Computed powder diffraction line list of ThSc3Sn2 for Cu Kα (λ = 1.5418 Å), from a DFT-relaxed cell (PBE, Alexandria).
Lines closer than 0.1° are merged.

Largest 10 diffraction maxima, most intense first, 10 to 90 degrees two-theta:
30.57 deg, 2.924 Å, I = 100.0
32.13 deg, 2.786 Å, I = 99.6
12.28 deg, 7.206 Å, I = 87.6
32.24 deg, 2.777 Å, I = 75.3
29.84 deg, 2.994 Å, I = 66.5
39.82 deg, 2.264 Å, I = 61.7
11.29 deg, 7.839 Å, I = 54.9
33.86 deg, 2.647 Å, I = 53.1
40.21 deg, 2.243 Å, I = 46.4
29.02 deg, 3.077 Å, I = 33.2

Crystal structure
Cell lengths 17.6785, 4.5277, 8.4937 Å; angles 90.00, 112.65, 90.00 degrees
Space group C2/m (No. 12)
Inequivalent atoms, fractional coordinates:
1 Th 0.1155 0.0000 0.1531 x4
2 Sc 0.0680 0.0000 0.6914 x4
3 Sc 0.1379 0.5000 0.4898 x4
4 Sc 0.1945 0.5000 0.8954 x4
5 Sn 0.0170 0.5000 0.8386 x4
6 Sn 0.2400 0.0000 0.7010 x4